Record 1
Calculated XRD peak list of PaNiHgSe3 for CuKα, from a structure optimized by DFT (PBE).

The 10 most intense peaks (2θ from 10° to 80°), in order of rising 2θ:
2θ 19.02, intensity 35; 2θ 19.64, intensity 48; 2θ 19.91, intensity 25; 2θ 24.18, intensity 27; 2θ 27.65, intensity 100; 2θ 29.24, intensity 28; 2θ 30.06, intensity 33; 2θ 34.66, intensity 25; 2θ 44.86, intensity 32; 2θ 50.10, intensity 22

Crystal structure
```
data_PaNiHgSe3
_space_group_name_H-M_alt 'P 1'
_space_group_IT_number 1
_space_group_name_Hall 'P 1'
_cell_length_a 10.242
_cell_length_b 4.041
_cell_length_c 10.574
_cell_angle_alpha 90.00
_cell_angle_beta 118.03
_cell_angle_gamma 90.00
loop_
_atom_site_label
_atom_site_fract_x
_atom_site_fract_y
_atom_site_fract_z
_atom_site_occupancy
Pa1 0.019 0.250 0.188 1
Pa2 0.981 0.750 0.812 1
Ni1 0.002 0.250 0.585 1
Ni2 0.998 0.750 0.415 1
Hg1 0.477 0.250 0.718 1
Hg2 0.523 0.750 0.282 1
Se1 0.145 0.750 0.667 1
Se2 0.161 0.250 0.008 1
Se3 0.201 0.750 0.354 1
Se4 0.799 0.250 0.646 1
Se5 0.839 0.750 0.992 1
Se6 0.855 0.250 0.333 1
```

=====

Record 2
Calculated XRD peak list of NiHg2Pb for CuKα, from a structure optimized by DFT (PBE).

The 10 most intense peaks (2θ from 10° to 80°), in order of rising 2θ:
2θ 28.88, intensity 40; 2θ 29.01, intensity 40; 2θ 29.12, intensity 13; 2θ 29.54, intensity 25; 2θ 37.58, intensity 100; 2θ 38.30, intensity 34; 2θ 44.31, intensity 14; 2θ 47.12, intensity 23; 2θ 49.09, intensity 13; 2θ 67.24, intensity 16

Crystal structure
```
data_NiHg2Pb
_space_group_name_H-M_alt 'P 1'
_space_group_IT_number 1
_space_group_name_Hall 'P 1'
_cell_length_a 13.116
_cell_length_b 3.120
_cell_length_c 4.701
_cell_angle_alpha 90.00
_cell_angle_beta 110.74
_cell_angle_gamma 90.00
loop_
_atom_site_label
_atom_site_fract_x
_atom_site_fract_y
_atom_site_fract_z
_atom_site_occupancy
Ni1 0.000 0.000 0.000 1
Ni2 0.500 0.500 0.000 1
Hg1 0.189 0.500 0.190 1
Hg2 0.311 0.000 0.810 1
Hg3 0.689 0.000 0.190 1
Hg4 0.811 0.500 0.810 1
Pb1 0.000 0.500 0.500 1
Pb2 0.500 0.000 0.500 1
```

=====

Record 3
Calculated XRD peak list of Pm5NiHg for CuKα, from a structure optimized by DFT (PBE).

The 10 most intense peaks (2θ from 10° to 80°), in order of rising 2θ:
2θ 27.85, intensity 21; 2θ 28.84, intensity 21; 2θ 29.71, intensity 50; 2θ 30.27, intensity 50; 2θ 30.49, intensity 58; 2θ 30.63, intensity 47; 2θ 32.06, intensity 100; 2θ 34.00, intensity 30; 2θ 40.24, intensity 21; 2θ 52.35, intensity 17

Crystal structure
```
data_Pm5NiHg
_space_group_name_H-M_alt 'P 1'
_space_group_IT_number 1
_space_group_name_Hall 'P 1'
_cell_length_a 6.172
_cell_length_b 6.172
_cell_length_c 11.734
_cell_angle_alpha 103.06
_cell_angle_beta 103.06
_cell_angle_gamma 73.83
loop_
_atom_site_label
_atom_site_fract_x
_atom_site_fract_y
_atom_site_fract_z
_atom_site_occupancy
Pm1 0.016 0.984 0.750 1
Pm2 0.063 0.424 0.133 1
Pm3 0.214 0.558 0.445 1
Pm4 0.424 0.063 0.633 1
Pm5 0.442 0.786 0.055 1
Pm6 0.558 0.214 0.945 1
Pm7 0.576 0.937 0.367 1
Pm8 0.786 0.442 0.555 1
Pm9 0.937 0.576 0.867 1
Pm10 0.984 0.016 0.250 1
Ni1 0.000 0.000 0.000 1
Ni2 0.000 0.000 0.500 1
Hg1 0.431 0.569 0.750 1
Hg2 0.569 0.431 0.250 1
```

=====

Record 4
Calculated XRD peak list of Pm11Ni4Hg9 for CuKα, from a structure optimized by DFT (PBE).

The 10 most intense peaks (2θ from 10° to 80°), in order of rising 2θ:
2θ 30.56, intensity 17; 2θ 32.16, intensity 17; 2θ 32.70, intensity 11; 2θ 34.41, intensity 100; 2θ 34.56, intensity 46; 2θ 37.23, intensity 13; 2θ 37.69, intensity 13; 2θ 49.22, intensity 16; 2θ 49.68, intensity 11; 2θ 61.53, intensity 18

Crystal structure
```
data_Pm11Ni4Hg9
_space_group_name_H-M_alt 'P 1'
_space_group_IT_number 1
_space_group_name_Hall 'P 1'
_cell_length_a 13.237
_cell_length_b 13.237
_cell_length_c 3.703
_cell_angle_alpha 90.00
_cell_angle_beta 90.00
_cell_angle_gamma 112.71
loop_
_atom_site_label
_atom_site_fract_x
_atom_site_fract_y
_atom_site_fract_z
_atom_site_occupancy
Pm1 0.000 0.000 0.000 1
Pm2 0.080 0.416 0.000 1
Pm3 0.167 0.833 0.000 1
Pm4 0.308 0.308 0.000 1
Pm5 0.374 0.626 0.000 1
Pm6 0.416 0.080 0.000 1
Pm7 0.584 0.920 0.000 1
Pm8 0.626 0.374 0.000 1
Pm9 0.692 0.692 0.000 1
Pm10 0.833 0.167 0.000 1
Pm11 0.920 0.584 0.000 1
Ni1 0.250 0.450 0.500 1
Ni2 0.450 0.250 0.500 1
Ni3 0.550 0.750 0.500 1
Ni4 0.750 0.550 0.500 1
Hg1 0.074 0.218 0.500 1
Hg2 0.159 0.630 0.500 1
Hg3 0.218 0.074 0.500 1
Hg4 0.370 0.841 0.500 1
Hg5 0.500 0.500 0.500 1
Hg6 0.630 0.159 0.500 1
Hg7 0.782 0.926 0.500 1
Hg8 0.841 0.370 0.500 1
Hg9 0.926 0.782 0.500 1
```

=====

Record 5
Calculated XRD peak list of Pm4NiHg3 for CuKα, from a structure optimized by DFT (PBE).

The 10 most intense peaks (2θ from 10° to 80°), in order of rising 2θ:
2θ 29.89, intensity 9; 2θ 33.74, intensity 100; 2θ 34.41, intensity 51; 2θ 47.45, intensity 8; 2θ 49.45, intensity 18; 2θ 54.75, intensity 5; 2θ 59.91, intensity 16; 2θ 61.20, intensity 36; 2θ 70.95, intensity 9; 2θ 72.52, intensity 11

Crystal structure
```
data_Pm4NiHg3
_space_group_name_H-M_alt 'P 1'
_space_group_IT_number 1
_space_group_name_Hall 'P 1'
_cell_length_a 3.686
_cell_length_b 3.686
_cell_length_c 15.329
_cell_angle_alpha 90.00
_cell_angle_beta 90.00
_cell_angle_gamma 90.00
loop_
_atom_site_label
_atom_site_fract_x
_atom_site_fract_y
_atom_site_fract_z
_atom_site_occupancy
Pm1 0.000 0.000 0.107 1
Pm2 0.000 0.000 0.369 1
Pm3 0.000 0.000 0.631 1
Pm4 0.000 0.000 0.893 1
Ni1 0.500 0.500 0.000 1
Hg1 0.500 0.500 0.241 1
Hg2 0.500 0.500 0.500 1
Hg3 0.500 0.500 0.759 1
```

=====

Record 6
Calculated XRD peak list of Pr5Ni2Hg for CuKα, from a structure optimized by DFT (PBE).

The 10 most intense peaks (2θ from 10° to 80°), in order of rising 2θ:
2θ 25.61, intensity 31; 2θ 30.82, intensity 47; 2θ 31.43, intensity 25; 2θ 31.84, intensity 100; 2θ 34.71, intensity 65; 2θ 35.25, intensity 90; 2θ 52.99, intensity 18; 2θ 55.58, intensity 34; 2θ 65.25, intensity 16; 2θ 66.52, intensity 24

Crystal structure
```
data_Pr5Ni2Hg
_space_group_name_H-M_alt 'P 1'
_space_group_IT_number 1
_space_group_name_Hall 'P 1'
_cell_length_a 8.825
_cell_length_b 8.825
_cell_length_c 8.825
_cell_angle_alpha 125.73
_cell_angle_beta 125.73
_cell_angle_gamma 80.34
loop_
_atom_site_label
_atom_site_fract_x
_atom_site_fract_y
_atom_site_fract_z
_atom_site_occupancy
Pr1 0.000 0.000 0.000 1
Pr2 0.023 0.523 0.821 1
Pr3 0.202 0.023 0.500 1
Pr4 0.298 0.798 0.821 1
Pr5 0.477 0.298 0.500 1
Pr6 0.500 0.500 0.000 1
Pr7 0.523 0.702 0.500 1
Pr8 0.702 0.202 0.179 1
Pr9 0.798 0.977 0.500 1
Pr10 0.977 0.477 0.179 1
Ni1 0.119 0.381 0.500 1
Ni2 0.381 0.881 0.261 1
Ni3 0.619 0.119 0.739 1
Ni4 0.881 0.619 0.500 1
Hg1 0.250 0.250 0.000 1
Hg2 0.750 0.750 0.000 1
```

=====

Record 7
Calculated XRD peak list of Ni2HgPt for CuKα, from a structure optimized by DFT (PBE).

The 10 most intense peaks (2θ from 10° to 80°), in order of rising 2θ:
2θ 12.92, intensity 19; 2θ 33.34, intensity 47; 2θ 39.45, intensity 15; 2θ 40.58, intensity 100; 2θ 43.82, intensity 47; 2θ 60.42, intensity 18; 2θ 63.70, intensity 15; 2θ 71.55, intensity 11; 2θ 76.83, intensity 11; 2θ 78.31, intensity 29

Crystal structure
```
data_Ni2HgPt
_space_group_name_H-M_alt 'P 1'
_space_group_IT_number 1
_space_group_name_Hall 'P 1'
_cell_length_a 2.922
_cell_length_b 2.922
_cell_length_c 6.852
_cell_angle_alpha 90.00
_cell_angle_beta 90.00
_cell_angle_gamma 90.00
loop_
_atom_site_label
_atom_site_fract_x
_atom_site_fract_y
_atom_site_fract_z
_atom_site_occupancy
Ni1 0.000 0.000 0.000 1
Ni2 0.500 0.500 0.188 1
Hg1 0.500 0.500 0.730 1
Pt1 0.000 0.000 0.418 1
```

=====

Record 8
Calculated XRD peak list of NiHg2Pt2 for CuKα, from a structure optimized by DFT (PBE).

The 10 most intense peaks (2θ from 10° to 80°), in order of rising 2θ:
2θ 19.08, intensity 12; 2θ 27.10, intensity 8; 2θ 37.20, intensity 100; 2θ 42.67, intensity 18; 2θ 43.49, intensity 21; 2θ 59.62, intensity 8; 2θ 62.15, intensity 12; 2θ 62.56, intensity 14; 2θ 74.49, intensity 15; 2θ 76.05, intensity 8

Crystal structure
```
data_NiHg2Pt2
_space_group_name_H-M_alt 'P 1'
_space_group_IT_number 1
_space_group_name_Hall 'P 1'
_cell_length_a 6.580
_cell_length_b 6.580
_cell_length_c 4.238
_cell_angle_alpha 90.00
_cell_angle_beta 90.00
_cell_angle_gamma 90.00
loop_
_atom_site_label
_atom_site_fract_x
_atom_site_fract_y
_atom_site_fract_z
_atom_site_occupancy
Ni1 0.000 0.000 0.000 1
Ni2 0.500 0.500 0.000 1
Hg1 0.169 0.331 0.500 1
Hg2 0.331 0.831 0.500 1
Hg3 0.669 0.169 0.500 1
Hg4 0.831 0.669 0.500 1
Pt1 0.141 0.641 0.000 1
Pt2 0.359 0.141 0.000 1
Pt3 0.641 0.859 0.000 1
Pt4 0.859 0.359 0.000 1
```

=====

Record 9
Calculated XRD peak list of PuNiHg for CuKα, from a structure optimized by DFT (PBE).

The 10 most intense peaks (2θ from 10° to 80°), in order of rising 2θ:
2θ 33.63, intensity 33; 2θ 34.36, intensity 93; 2θ 34.97, intensity 100; 2θ 42.85, intensity 22; 2θ 43.60, intensity 53; 2θ 59.81, intensity 18; 2θ 60.60, intensity 35; 2θ 61.00, intensity 21; 2θ 69.04, intensity 15; 2θ 70.69, intensity 21

Crystal structure
```
data_PuNiHg
_space_group_name_H-M_alt 'P 1'
_space_group_IT_number 1
_space_group_name_Hall 'P 1'
_cell_length_a 6.621
_cell_length_b 5.443
_cell_length_c 5.331
_cell_angle_alpha 75.83
_cell_angle_beta 52.85
_cell_angle_gamma 51.32
loop_
_atom_site_label
_atom_site_fract_x
_atom_site_fract_y
_atom_site_fract_z
_atom_site_occupancy
Pu1 0.164 0.836 0.164 1
Pu2 0.836 0.164 0.836 1
Ni1 0.250 0.250 0.250 1
Ni2 0.750 0.750 0.750 1
Hg1 0.338 0.338 0.662 1
Hg2 0.662 0.662 0.338 1
```

=====

Record 10
Calculated XRD peak list of Rb2NiHg4 for CuKα, from a structure optimized by DFT (PBE).

The 10 most intense peaks (2θ from 10° to 80°), in order of rising 2θ:
2θ 17.63, intensity 25; 2θ 25.98, intensity 49; 2θ 29.32, intensity 29; 2θ 31.10, intensity 100; 2θ 34.27, intensity 59; 2θ 45.71, intensity 35; 2θ 49.24, intensity 22; 2θ 53.22, intensity 20; 2θ 56.12, intensity 20; 2θ 59.40, intensity 33

Crystal structure
```
data_Rb2NiHg4
_space_group_name_H-M_alt 'P 1'
_space_group_IT_number 1
_space_group_name_Hall 'P 1'
_cell_length_a 5.234
_cell_length_b 5.234
_cell_length_c 18.278
_cell_angle_alpha 90.00
_cell_angle_beta 90.00
_cell_angle_gamma 90.00
loop_
_atom_site_label
_atom_site_fract_x
_atom_site_fract_y
_atom_site_fract_z
_atom_site_occupancy
Rb1 0.000 0.000 0.150 1
Rb2 0.000 0.000 0.850 1
Rb3 0.500 0.500 0.350 1
Rb4 0.500 0.500 0.650 1
Ni1 0.000 0.000 0.500 1
Ni2 0.500 0.500 0.000 1
Hg1 0.000 0.000 0.358 1
Hg2 0.000 0.000 0.642 1
Hg3 0.000 0.500 0.000 1
Hg4 0.000 0.500 0.500 1
Hg5 0.500 0.000 0.000 1
Hg6 0.500 0.000 0.500 1
Hg7 0.500 0.500 0.142 1
Hg8 0.500 0.500 0.858 1
```

=====

Record 11
Calculated XRD peak list of RbNiSnHg2 for CuKα, from a structure optimized by DFT (PBE).

The 10 most intense peaks (2θ from 10° to 80°), in order of rising 2θ:
2θ 17.85, intensity 19; 2θ 29.91, intensity 100; 2θ 33.92, intensity 56; 2θ 36.16, intensity 23; 2θ 38.58, intensity 12; 2θ 48.72, intensity 20; 2θ 50.41, intensity 37; 2θ 58.23, intensity 32; 2θ 61.21, intensity 14; 2θ 62.15, intensity 20

Crystal structure
```
data_RbNiSnHg2
_space_group_name_H-M_alt 'P 1'
_space_group_IT_number 1
_space_group_name_Hall 'P 1'
_cell_length_a 5.286
_cell_length_b 5.286
_cell_length_c 4.968
_cell_angle_alpha 90.00
_cell_angle_beta 90.00
_cell_angle_gamma 90.00
loop_
_atom_site_label
_atom_site_fract_x
_atom_site_fract_y
_atom_site_fract_z
_atom_site_occupancy
Rb1 0.000 0.000 0.000 1
Ni1 0.500 0.500 0.500 1
Sn1 0.500 0.500 0.000 1
Hg1 0.000 0.500 0.500 1
Hg2 0.500 0.000 0.500 1
```

=====

Record 12
Calculated XRD peak list of NiHgSb2 for CuKα, from a structure optimized by DFT (PBE).

The 10 most intense peaks (2θ from 10° to 80°), in order of rising 2θ:
2θ 14.53, intensity 24; 2θ 28.61, intensity 38; 2θ 29.29, intensity 90; 2θ 37.06, intensity 100; 2θ 39.07, intensity 35; 2θ 44.59, intensity 23; 2θ 45.41, intensity 45; 2θ 60.76, intensity 19; 2θ 71.40, intensity 29; 2θ 75.21, intensity 20

Crystal structure
```
data_NiHgSb2
_space_group_name_H-M_alt 'P 1'
_space_group_IT_number 1
_space_group_name_Hall 'P 1'
_cell_length_a 3.227
_cell_length_b 4.611
_cell_length_c 12.192
_cell_angle_alpha 90.00
_cell_angle_beta 90.00
_cell_angle_gamma 90.00
loop_
_atom_site_label
_atom_site_fract_x
_atom_site_fract_y
_atom_site_fract_z
_atom_site_occupancy
Ni1 0.000 0.000 0.000 1
Ni2 0.500 0.500 0.500 1
Hg1 0.000 0.000 0.500 1
Hg2 0.500 0.500 0.000 1
Sb1 0.000 0.500 0.328 1
Sb2 0.000 0.500 0.672 1
Sb3 0.500 0.000 0.172 1
Sb4 0.500 0.000 0.828 1
```

=====

Record 13
Calculated XRD peak list of Sc3Ni2Hg3 for CuKα, from a structure optimized by DFT (PBE).

The 10 most intense peaks (2θ from 10° to 80°), in order of rising 2θ:
2θ 14.19, intensity 22; 2θ 24.71, intensity 46; 2θ 26.45, intensity 47; 2θ 30.14, intensity 20; 2θ 36.51, intensity 75; 2θ 38.16, intensity 100; 2θ 39.36, intensity 36; 2θ 47.03, intensity 70; 2θ 68.43, intensity 36; 2θ 71.63, intensity 24

Crystal structure
```
data_Sc3Ni2Hg3
_space_group_name_H-M_alt 'P 1'
_space_group_IT_number 1
_space_group_name_Hall 'P 1'
_cell_length_a 7.205
_cell_length_b 7.205
_cell_length_c 3.370
_cell_angle_alpha 90.00
_cell_angle_beta 90.00
_cell_angle_gamma 120.00
loop_
_atom_site_label
_atom_site_fract_x
_atom_site_fract_y
_atom_site_fract_z
_atom_site_occupancy
Sc1 0.000 0.418 0.000 1
Sc2 0.418 0.000 0.000 1
Sc3 0.582 0.582 0.000 1
Ni1 0.333 0.667 0.500 1
Ni2 0.667 0.333 0.500 1
Hg1 0.000 0.758 0.500 1
Hg2 0.242 0.242 0.500 1
Hg3 0.758 0.000 0.500 1
```

=====

Record 14
Calculated XRD peak list of Ni4HgSe8 for CuKα, from a structure optimized by DFT (PBE).

The 10 most intense peaks (2θ from 10° to 80°), in order of rising 2θ:
2θ 12.77, intensity 43; 2θ 14.97, intensity 30; 2θ 16.70, intensity 22; 2θ 28.15, intensity 13; 2θ 33.77, intensity 100; 2θ 36.20, intensity 18; 2θ 42.22, intensity 20; 2θ 45.62, intensity 21; 2θ 51.26, intensity 37; 2θ 62.80, intensity 16

Crystal structure
```
data_Ni4HgSe8
_space_group_name_H-M_alt 'P 1'
_space_group_IT_number 1
_space_group_name_Hall 'P 1'
_cell_length_a 8.062
_cell_length_b 8.062
_cell_length_c 8.062
_cell_angle_alpha 52.48
_cell_angle_beta 52.48
_cell_angle_gamma 52.48
loop_
_atom_site_label
_atom_site_fract_x
_atom_site_fract_y
_atom_site_fract_z
_atom_site_occupancy
Ni1 0.000 0.000 0.000 1
Ni2 0.000 0.500 0.500 1
Ni3 0.500 0.000 0.500 1
Ni4 0.500 0.500 0.000 1
Hg1 0.500 0.500 0.500 1
Se1 0.228 0.228 0.724 1
Se2 0.228 0.724 0.228 1
Se3 0.274 0.274 0.274 1
Se4 0.276 0.772 0.772 1
Se5 0.724 0.228 0.228 1
Se6 0.726 0.726 0.726 1
Se7 0.772 0.276 0.772 1
Se8 0.772 0.772 0.276 1
```